# LaNdTl
Calculated X-ray diffraction stick pattern, CuKα. Input: a DFT-relaxed cell (PBE, OQMD).

Cell and atoms:
```
LaNdTl
1.0
7.6017 0.0000 0.0000
0.0000 7.6017 0.0000
0.0000 0.0000 7.6017
La Nd Tl
4 4 4
Cartesian
0.0000 0.0000 0.0000
0.0000 3.8009 3.8009
3.8009 0.0000 3.8009
3.8009 3.8009 0.0000
0.0000 0.0000 3.8009
0.0000 3.8009 0.0000
3.8009 0.0000 0.0000
3.8009 3.8009 3.8009
1.9004 1.9004 1.9004
1.9004 5.7013 5.7013
5.7013 1.9004 5.7013
5.7013 5.7013 1.9004
```

Most intense lines, 2θ from 15° to 90°, in order of rising 2θ:
| two_theta | I_rel |
| --- | --- |
| 20.23 | 39.3 |
| 33.34 | 100.0 |
| 39.31 | 22.1 |
| 47.86 | 18.3 |
| 52.47 | 9.8 |
| 59.58 | 38.1 |
| 63.60 | 7.4 |
| 70.02 | 11.8 |
| 73.74 | 7.2 |
| 79.79 | 16.5 |

# RbSmCdS3
Calculated X-ray diffraction stick pattern, CuKα. Input: a DFT-relaxed cell (PBE, OQMD).

Cell and atoms:
```
RbSmCdS3
1.0
8.7298 0.0000 0.0000
0.0000 4.2092 0.0000
-3.2629 0.0000 9.7689
Rb Sm Cd S
2 2 2 6
Cartesian
1.2088 1.0523 2.4473
4.2581 3.1569 7.3216
-0.0168 3.1569 8.4759
5.4838 1.0523 1.2931
-1.2458 1.0523 5.9780
6.7128 3.1569 3.7910
-1.9286 1.0523 8.3801
0.1287 3.1569 5.4010
3.6171 3.1569 1.4024
1.8499 1.0523 8.3665
5.3383 1.0523 4.3680
7.3956 3.1569 1.3888
```

Most intense lines, 2θ from 15° to 90°, in order of rising 2θ:
| two_theta | I_rel |
| --- | --- |
| 23.35 | 73.5 |
| 26.64 | 64.2 |
| 27.98 | 46.9 |
| 29.57 | 100.0 |
| 30.28 | 94.0 |
| 32.58 | 66.4 |
| 33.76 | 70.2 |
| 42.38 | 52.3 |
| 42.98 | 48.0 |
| 47.16 | 50.3 |

# Cu2Ag3
Calculated X-ray diffraction stick pattern, CuKα. Input: a DFT-relaxed cell (PBE, OQMD).

Cell and atoms:
```
Cu2Ag3
1.0
2.4214 -7.0347 0.0000
2.4214 7.0347 0.0000
-1.5570 0.0000 4.5677
Cu Ag
4 6
Cartesian
0.0000 0.0000 0.0000
1.6429 -0.0550 2.2839
1.6429 -2.8642 2.2839
1.6429 -5.7054 2.2839
1.6429 5.7005 2.2839
2.4214 4.2095 0.0000
1.6429 2.7293 2.2839
2.4214 1.2632 0.0000
2.4214 -1.4567 0.0000
2.4214 -4.3219 0.0000
```

Most intense lines, 2θ from 15° to 90°, in order of rising 2θ:
| two_theta | I_rel |
| --- | --- |
| 39.36 | 100.0 |
| 39.46 | 33.5 |
| 45.60 | 42.7 |
| 46.18 | 20.9 |
| 66.46 | 12.7 |
| 66.82 | 12.7 |
| 67.02 | 12.8 |
| 80.01 | 14.7 |
| 80.15 | 14.6 |
| 80.93 | 7.3 |

# CsRbTl4Pt2
Calculated X-ray diffraction stick pattern, CuKα. Input: a DFT-relaxed cell (PBE, OQMD).

Cell and atoms:
```
CsRbTl4Pt2
1.0
8.4183 0.0000 0.0000
0.0000 4.5182 0.0000
0.0000 0.0000 13.2521
Cs Rb Tl Pt
2 2 8 4
Cartesian
0.0000 0.0000 0.0000
0.0000 2.2591 6.6261
4.2092 0.0000 1.2102
4.2092 2.2591 7.8362
1.6729 0.0000 9.4014
1.6729 2.2591 2.7753
2.5717 0.0000 5.0315
2.5717 2.2591 11.6576
5.8467 0.0000 5.0315
5.8467 2.2591 11.6576
6.7455 0.0000 9.4014
6.7455 2.2591 2.7753
0.0000 0.0000 3.5578
0.0000 2.2591 10.1839
4.2092 0.0000 10.8659
4.2092 2.2591 4.2398
```

Most intense lines, 2θ from 15° to 90°, in order of rising 2θ:
| two_theta | I_rel |
| --- | --- |
| 28.25 | 80.3 |
| 28.96 | 55.1 |
| 29.78 | 84.0 |
| 30.22 | 61.3 |
| 34.45 | 44.5 |
| 34.72 | 27.9 |
| 35.53 | 66.9 |
| 38.37 | 100.0 |
| 39.91 | 54.2 |
| 45.14 | 30.6 |

# Ir4O11
Calculated X-ray diffraction stick pattern, CuKα. Input: a DFT-relaxed cell (PBE, OQMD).

Cell and atoms:
```
Ir4O11
1.0
4.6819 0.0000 0.0000
1.0623 5.0742 0.0000
1.7269 0.1796 8.4969
Ir O
4 11
Cartesian
0.0000 0.0000 0.0000
2.8152 2.6820 6.9766
3.9696 1.8607 4.3214
4.6741 2.6919 1.5590
0.5440 0.8505 1.5909
2.2944 2.0776 5.1518
1.6127 3.1678 0.3622
3.1328 0.8407 7.4289
3.1013 2.1969 2.6717
4.4321 2.8044 5.9422
4.1357 4.3742 0.9586
4.5197 0.2356 4.4261
5.8987 2.0828 8.1939
5.2661 2.9337 3.3673
6.6562 4.3490 6.9168
```

Most intense lines, 2θ from 15° to 90°, in order of rising 2θ:
| two_theta | I_rel |
| --- | --- |
| 17.48 | 29.7 |
| 20.51 | 100.0 |
| 24.19 | 15.5 |
| 27.65 | 16.5 |
| 31.60 | 13.4 |
| 34.55 | 21.8 |
| 35.99 | 16.7 |
| 36.70 | 13.9 |
| 44.07 | 17.9 |
| 45.23 | 17.2 |

# Cd2GeTe2F2
Calculated X-ray diffraction stick pattern, CuKα. Input: a DFT-relaxed cell (PBE, OQMD).

Cell and atoms:
```
Cd2GeTe2F2
1.0
3.9733 0.0000 0.0000
0.0000 3.9733 0.0000
0.0000 0.0000 9.5709
Cd Ge Te F
2 1 2 2
Cartesian
0.0000 1.9866 1.3567
1.9866 0.0000 8.2142
0.0000 0.0000 4.7854
0.0000 1.9866 6.7143
1.9866 0.0000 2.8566
0.0000 0.0000 0.0000
1.9866 1.9866 0.0000
```

Most intense lines, 2θ from 15° to 90°, in order of rising 2θ:
| two_theta | I_rel |
| --- | --- |
| 29.21 | 100.0 |
| 31.85 | 37.2 |
| 36.11 | 28.6 |
| 37.11 | 50.1 |
| 44.19 | 25.5 |
| 45.67 | 35.8 |
| 55.14 | 32.3 |
| 59.55 | 13.0 |
| 65.42 | 15.4 |
| 66.57 | 11.1 |

# Cd2Sn2P
Calculated X-ray diffraction stick pattern, CuKα. Input: a DFT-relaxed cell (PBE, OQMD).

Cell and atoms:
```
Cd2Sn2P
1.0
2.7356 -7.1840 0.0000
2.7356 7.1840 0.0000
-0.0966 0.0000 6.3641
Cd Sn P
4 4 2
Cartesian
2.7356 5.7233 0.0000
2.6622 5.5536 3.1785
2.6622 -5.5536 3.1785
2.7356 -5.7233 0.0000
2.4681 2.5342 1.5506
2.8828 2.5223 4.8602
2.4681 -2.5342 1.5506
2.8828 -2.5223 4.8602
2.0316 0.0000 4.1050
3.2808 0.0000 2.2985
```

Most intense lines, 2θ from 15° to 90°, in order of rising 2θ:
| two_theta | I_rel |
| --- | --- |
| 24.77 | 58.7 |
| 30.73 | 29.5 |
| 32.74 | 70.5 |
| 32.94 | 68.2 |
| 33.38 | 47.8 |
| 35.28 | 100.0 |
| 37.52 | 52.5 |
| 37.91 | 54.6 |
| 41.50 | 25.1 |
| 47.52 | 34.5 |

# Pr2Ga8Ni
Calculated X-ray diffraction stick pattern, CuKα. Input: a DFT-relaxed cell (PBE, OQMD).

Cell and atoms:
```
Pr2Ga8Ni
1.0
4.3528 0.0000 0.0000
0.0000 4.3528 0.0000
0.0000 0.0000 11.3847
Pr Ga Ni
2 8 1
Cartesian
0.0000 0.0000 2.2207
0.0000 0.0000 9.1641
0.0000 2.1764 0.0000
0.0000 2.1764 4.3857
0.0000 2.1764 6.9990
2.1764 0.0000 0.0000
2.1764 0.0000 4.3857
2.1764 0.0000 6.9990
2.1764 2.1764 2.2000
2.1764 2.1764 9.1848
0.0000 0.0000 5.6924
```

Most intense lines, 2θ from 15° to 90°, in order of rising 2θ:
| two_theta | I_rel |
| --- | --- |
| 20.40 | 17.4 |
| 33.09 | 51.0 |
| 37.63 | 100.0 |
| 39.58 | 22.8 |
| 41.49 | 59.2 |
| 58.68 | 28.2 |
| 60.13 | 19.3 |
| 73.14 | 27.3 |
| 73.29 | 13.4 |
| 74.40 | 13.7 |

# Dy3Mg3TlCdIn
Calculated X-ray diffraction stick pattern, CuKα. Input: a DFT-relaxed cell (PBE, OQMD).

Cell and atoms:
```
Dy3Mg3TlCdIn
1.0
7.5642 0.0000 0.0000
-3.7821 6.5508 0.0000
0.0000 0.0000 4.6050
Dy Mg Tl Cd In
3 3 1 1 1
Cartesian
5.3928 3.7580 0.0000
1.6132 2.7913 0.0000
4.3402 0.0014 0.0000
6.6511 1.5785 2.3025
1.8236 0.0015 2.3025
2.8715 4.9707 2.3025
0.0000 4.3672 2.3025
0.0000 0.0000 0.0000
3.7821 2.1836 2.3025
```

Most intense lines, 2θ from 15° to 90°, in order of rising 2θ:
| two_theta | I_rel |
| --- | --- |
| 23.55 | 38.6 |
| 27.23 | 17.2 |
| 30.59 | 70.9 |
| 33.58 | 100.0 |
| 36.28 | 18.7 |
| 39.12 | 25.0 |
| 41.38 | 41.4 |
| 50.21 | 15.5 |
| 54.28 | 18.9 |
| 65.30 | 22.7 |

# La2SiPt8
Calculated X-ray diffraction stick pattern, CuKα. Input: a DFT-relaxed cell (PBE, OQMD).

Cell and atoms:
```
La2SiPt8
1.0
4.3086 0.0000 0.0000
0.0000 8.9046 2.7407
0.0000 -8.9046 2.7407
La Si Pt
2 1 8
Cartesian
0.0000 -6.7092 2.7407
0.0000 6.7092 2.7407
2.1543 0.0000 3.9992
0.0000 -3.5818 2.7283
0.0000 0.0000 2.7953
0.0000 3.5818 2.7283
2.1543 0.0000 0.8024
2.1543 -1.9801 2.7611
2.1543 -4.4706 4.0804
2.1543 1.9801 2.7611
2.1543 4.4706 4.0804
```

Most intense lines, 2θ from 15° to 90°, in order of rising 2θ:
| two_theta | I_rel |
| --- | --- |
| 16.92 | 19.9 |
| 30.38 | 16.6 |
| 32.67 | 13.9 |
| 36.61 | 100.0 |
| 38.58 | 17.8 |
| 38.96 | 27.6 |
| 41.94 | 36.5 |
| 44.13 | 29.6 |
| 60.91 | 13.8 |
| 73.12 | 15.3 |

# DyEr2Cd3Cu2Ag
Calculated X-ray diffraction stick pattern, CuKα. Input: a DFT-relaxed cell (PBE, OQMD).

Cell and atoms:
```
DyEr2Cd3Cu2Ag
1.0
3.8438 0.0000 0.0000
0.0000 6.6116 3.8174
0.0000 -6.6116 3.8174
Dy Er Cd Cu Ag
1 2 3 2 1
Cartesian
0.0000 0.0000 0.0000
0.0000 -2.7120 4.6971
0.0000 2.7120 4.6971
1.9219 -1.7842 2.1068
1.9219 1.7842 2.1068
1.9219 0.0000 5.1821
1.9219 -4.3969 3.1282
1.9219 4.3969 3.1282
0.0000 0.0000 3.1346
```

Most intense lines, 2θ from 15° to 90°, in order of rising 2θ:
| two_theta | I_rel |
| --- | --- |
| 33.07 | 100.0 |
| 35.83 | 82.8 |
| 35.94 | 42.3 |
| 40.95 | 34.1 |
| 47.30 | 20.8 |
| 55.53 | 21.8 |
| 60.80 | 17.9 |
| 64.31 | 17.1 |
| 66.24 | 28.9 |
| 76.15 | 17.5 |

# Tb2Al6B4Au
Calculated X-ray diffraction stick pattern, CuKα. Input: a DFT-relaxed cell (PBE, OQMD).

Cell and atoms:
```
Tb2Al6B4Au
1.0
1.8824 1.0868 16.7390
-1.8824 1.0868 16.7390
0.0000 -2.1736 16.7390
Tb Al B Au
2 6 4 1
Cartesian
0.0000 0.0000 3.0979
0.0000 0.0000 47.1190
0.0000 0.0000 9.7481
0.0000 0.0000 15.8833
0.0000 0.0000 22.0430
0.0000 0.0000 28.1739
0.0000 0.0000 34.3335
0.0000 0.0000 40.4687
0.0000 0.0000 11.8867
0.0000 0.0000 18.1937
0.0000 0.0000 32.0232
0.0000 0.0000 38.3302
0.0000 0.0000 25.1084
```

Most intense lines, 2θ from 15° to 90°, in order of rising 2θ:
| two_theta | I_rel |
| --- | --- |
| 15.88 | 99.7 |
| 27.59 | 69.9 |
| 28.79 | 35.4 |
| 30.11 | 100.0 |
| 33.78 | 33.1 |
| 37.27 | 36.2 |
| 39.87 | 89.1 |
| 48.35 | 57.0 |
| 50.29 | 26.9 |
| 51.22 | 32.5 |